# 1
Diffraction record for LiSbWO7. The PXRD pattern is computed, not measured: it uses a GGA+U-relaxed structure and CuKα.
No peak broadening, texture or thermal motion is included.

Most intense lines, 2θ from 5° to 70°, most intense first:
2theta, d (Å), I_rel
14.7, 6.014, 100
29.8, 3.000, 36
28.2, 3.164, 31
29.6, 3.019, 29
49.6, 1.838, 19
28.6, 3.118, 18
28.4, 3.147, 13
58.3, 1.582, 13
34.2, 2.620, 11
37.6, 2.390, 11
45.0, 2.012, 9
58.7, 1.574, 9

```
20
Lattice="-3.688 3.724 5.156 3.688 -3.724 5.156 3.688 3.724 -5.156" Properties=species:S:1:pos:R:3 pbc="T T T"
Li 0.000 0.000 0.000
Li 0.000 3.724 0.000
Sb -1.844 1.862 2.578
Sb 1.844 1.862 2.578
W 3.688 0.000 0.000
W 0.000 0.000 5.156
O 2.290 0.430 1.274
O 5.086 0.430 1.274
O 3.688 -1.862 4.571
O 3.688 1.862 -0.567
O 0.000 1.862 1.740
O 2.290 4.154 -1.274
O 1.398 0.430 3.882
O 2.290 3.293 1.274
O 1.398 -0.430 6.430
O 3.688 1.862 3.416
O 0.000 1.862 5.723
O 0.000 5.585 0.585
O -1.398 3.293 3.882
O 1.398 3.293 3.882
```



# 2
Diffraction record for CaV2O10. The PXRD pattern is computed, not measured: it uses a GGA+U-relaxed structure and CuKα.
No peak broadening, texture or thermal motion is included.

Most intense lines, 2θ from 5° to 70°, most intense first:
2theta, d (Å), I_rel
13.9, 6.350, 100
26.4, 3.371, 75
21.2, 4.185, 63
10.6, 8.370, 42
14.4, 6.162, 35
28.3, 3.157, 34
20.3, 4.380, 33
39.4, 2.285, 31
25.5, 3.497, 31
33.6, 2.667, 30
31.6, 2.835, 29
28.1, 3.176, 26

```
26
Lattice="6.893 0.000 0.000 -2.451 6.748 0.000 -0.295 -3.010 8.370" Properties=species:S:1:pos:R:3 pbc="T T T"
Ca 0.788 0.218 2.806
Ca 3.360 3.520 5.564
V -0.345 3.643 1.320
V 1.132 0.620 6.880
V 3.016 3.118 1.490
V 4.493 0.095 7.050
O -0.543 0.373 7.714
O -1.613 3.592 7.553
O -0.249 2.285 2.311
O -1.022 4.176 5.521
O -0.693 5.018 2.224
O 0.772 -0.025 5.337
O -0.650 3.912 6.739
O 1.515 3.986 0.967
O 1.602 2.282 4.201
O 2.579 1.508 1.677
O 1.568 2.230 6.693
O 2.546 1.456 4.169
O 2.633 -0.248 7.403
O 4.798 -0.174 1.631
O 3.376 3.763 3.033
O 4.840 -1.280 6.146
O 5.170 -0.438 2.849
O 4.397 1.453 6.059
O 5.761 0.146 0.817
O 4.691 3.365 0.656
```



# 3
Diffraction record for MgFe2O2F2. The PXRD pattern is computed, not measured: it uses a GGA+U-relaxed structure and CuKα.
No peak broadening, texture or thermal motion is included.

Most intense lines, 2θ from 5° to 70°, most intense first:
2theta, d (Å), I_rel
44.1, 2.053, 100
19.3, 4.601, 82
35.8, 2.508, 57
28.9, 3.094, 40
34.3, 2.614, 36
54.4, 1.686, 35
61.6, 1.506, 33
34.7, 2.582, 33
16.8, 5.262, 26
45.2, 2.008, 21
63.7, 1.462, 18
59.8, 1.547, 16

```
7
Lattice="5.417 0.000 0.000 0.000 3.012 0.000 -2.147 0.000 5.262" Properties=species:S:1:pos:R:3 pbc="T T T"
Mg 0.000 0.000 0.000
Fe -1.074 0.000 2.631
Fe 2.708 1.506 0.000
O -1.185 1.506 4.079
O 4.455 1.506 1.183
F 1.668 0.000 1.093
F 1.602 0.000 4.169
```



# 4
Diffraction record for Li5Mn3CuP4O16. The PXRD pattern is computed, not measured: it uses a GGA+U-relaxed structure and CuKα.
No peak broadening, texture or thermal motion is included.

Most intense lines, 2θ from 5° to 70°, most intense first:
2theta, d (Å), I_rel
28.5, 3.131, 100
20.2, 4.392, 62
34.8, 2.577, 45
16.8, 5.284, 44
25.1, 3.554, 41
33.9, 2.648, 39
34.7, 2.587, 38
24.6, 3.612, 32
35.3, 2.544, 30
31.6, 2.829, 26
19.9, 4.456, 26
24.4, 3.653, 25

```
29
Lattice="4.872 0.000 0.000 -0.027 6.268 0.000 -0.201 -0.441 10.567" Properties=species:S:1:pos:R:3 pbc="T T T"
Li 0.000 0.000 0.000
Li 0.022 2.985 0.090
Li 1.746 -0.044 7.012
Li 2.518 2.697 5.465
Li 2.914 5.846 4.276
Mn 0.260 4.374 3.144
Mn 2.213 4.097 8.545
Mn 2.592 1.483 2.365
Cu 4.273 1.270 7.703
P 0.506 1.278 4.475
P 1.881 1.035 9.799
P 2.937 4.570 1.245
P 4.302 4.402 6.487
O 0.960 4.425 6.634
O 1.007 1.314 5.929
O 1.125 0.030 3.744
O 1.172 2.518 3.749
O 1.391 1.367 0.640
O 1.403 4.482 1.245
O 1.282 2.315 9.137
O 1.382 -0.205 8.986
O 3.466 5.756 2.130
O 3.362 4.255 10.393
O 3.416 1.083 9.931
O 3.603 3.303 1.906
O 3.612 5.619 7.188
O 3.635 3.140 7.156
O 3.838 1.304 4.337
O 3.871 4.362 4.978
```



# 5
Diffraction record for MgMn6O8F4. The PXRD pattern is computed, not measured: it uses a GGA+U-relaxed structure and CuKα.
No peak broadening, texture or thermal motion is included.

Most intense lines, 2θ from 5° to 70°, most intense first:
2theta, d (Å), I_rel
22.9, 3.891, 100
25.4, 3.504, 97
48.7, 1.869, 35
52.0, 1.760, 23
35.0, 2.560, 22
34.3, 2.613, 20
35.3, 2.540, 18
40.2, 2.242, 17
34.8, 2.579, 17
63.6, 1.464, 16
35.5, 2.529, 16
52.2, 1.752, 16

```
19
Lattice="5.219 0.000 0.000 -0.548 5.227 0.000 -0.062 -0.202 8.782" Properties=species:S:1:pos:R:3 pbc="T T T"
Mg 0.000 0.000 0.000
Mn -0.175 2.209 4.217
Mn -0.152 2.263 7.025
Mn 0.158 2.604 1.350
Mn 2.523 0.166 8.589
Mn 2.569 0.278 2.658
Mn 2.797 4.689 5.574
O 0.866 1.613 5.587
O 0.926 1.568 8.591
O 1.018 1.705 2.757
O 1.027 4.605 1.192
O 3.785 0.817 1.210
O 3.770 0.789 4.082
O 3.880 0.434 7.302
O 4.075 3.108 5.627
F 0.905 4.355 7.287
F 1.379 4.226 4.100
F 4.059 3.146 8.646
F 4.185 3.279 2.754
```



# 6
Diffraction record for NaCa3Fe4Si8O24. The PXRD pattern is computed, not measured: it uses a GGA+U-relaxed structure and CuKα.
No peak broadening, texture or thermal motion is included.

Most intense lines, 2θ from 5° to 70°, most intense first:
2theta, d (Å), I_rel
29.3, 3.047, 100
35.0, 2.562, 44
34.9, 2.568, 43
29.6, 3.017, 39
34.4, 2.606, 29
13.4, 6.587, 28
41.6, 2.173, 23
55.6, 1.653, 18
64.2, 1.451, 18
55.4, 1.660, 15
51.3, 1.780, 15
40.0, 2.253, 14

```
40
Lattice="6.228 -4.528 0.000 6.228 4.528 0.000 -5.645 0.000 8.236" Properties=species:S:1:pos:R:3 pbc="T T T"
Na 0.000 0.000 0.000
Ca -1.142 -0.903 6.156
Ca 3.406 0.003 4.118
Ca 7.953 -0.903 2.080
Fe 6.228 0.997 0.000
Fe 1.700 -1.808 2.023
Fe 3.406 -3.529 4.118
Fe 5.111 -1.808 6.213
Si 0.442 1.018 3.768
Si 2.946 0.980 0.369
Si 2.146 2.660 5.839
Si 4.665 2.660 2.397
Si 3.865 0.980 7.867
Si 6.370 1.018 4.469
Si 4.982 -1.855 1.675
Si 1.829 -1.855 6.561
O 3.954 4.079 2.665
O 2.858 4.079 5.571
O -0.790 1.031 4.828
O 1.707 1.997 4.357
O 0.919 2.528 6.892
O 3.389 1.689 1.835
O -1.388 0.983 7.614
O 2.268 -0.437 0.634
O 5.893 2.528 1.344
O 1.162 -0.392 3.513
O 5.104 1.997 3.879
O 3.423 1.689 6.401
O 1.082 -0.439 6.879
O 5.730 -0.439 1.357
O 8.200 0.983 0.623
O 4.487 -2.528 0.227
O 3.763 -1.851 2.739
O 0.565 -2.775 5.919
O 7.602 1.031 3.408
O 3.049 -1.851 5.498
O 5.650 -0.392 4.723
O 4.543 -0.437 7.603
O 2.324 -2.528 8.010
O 6.247 -2.775 2.318
```



# 7
Diffraction record for SrLaMnWO6. The PXRD pattern is computed, not measured: it uses a GGA+U-relaxed structure and CuKα.
No peak broadening, texture or thermal motion is included.

Most intense lines, 2θ from 5° to 70°, most intense first:
2theta, d (Å), I_rel
31.0, 2.880, 100
30.9, 2.897, 58
55.0, 1.670, 46
18.8, 4.713, 37
44.2, 2.049, 29
55.4, 1.660, 22
64.7, 1.440, 18
44.8, 2.025, 16
36.4, 2.468, 14
64.3, 1.449, 8
36.7, 2.447, 6
48.7, 1.870, 6

```
10
Lattice="-2.897 2.897 4.049 2.897 -2.897 4.049 2.897 2.897 -4.049" Properties=species:S:1:pos:R:3 pbc="T T T"
Sr 0.000 0.000 0.000
La 0.000 0.000 4.049
Mn 2.897 0.000 2.025
W 0.000 2.897 2.025
O 1.862 1.761 -1.914
O 1.036 1.137 2.135
O 0.000 2.897 0.091
O 1.137 -1.036 5.964
O 1.761 3.933 1.914
O 0.000 2.897 3.958
```



# 8
Diffraction record for MgWO3. The PXRD pattern is computed, not measured: it uses a GGA+U-relaxed structure and CuKα.
No peak broadening, texture or thermal motion is included.

Most intense lines, 2θ from 5° to 70°, most intense first:
2theta, d (Å), I_rel
21.9, 4.054, 100
21.7, 4.103, 67
32.7, 2.737, 57
29.2, 3.057, 43
44.7, 2.027, 30
29.6, 3.015, 29
47.4, 1.918, 21
47.8, 1.902, 20
52.3, 1.748, 20
60.5, 1.530, 17
37.0, 2.430, 16
52.1, 1.754, 15

```
5
Lattice="2.769 -3.015 0.000 2.769 3.015 0.000 -0.617 0.000 4.103" Properties=species:S:1:pos:R:3 pbc="T T T"
Mg 0.000 0.000 0.000
W 1.955 0.000 3.030
O 1.915 0.000 1.068
O 3.434 1.411 3.328
O 3.434 -1.411 3.328
```